Calculated powder diffractogram
Compound: CeEr3Tl4
Radiation: CuKα
Structure: a cell relaxed with PBE
Neutral-atom scattering factors, no anomalous dispersion.

a b c (Å): 10.765 7.615 5.379
angles (deg): 90.00 90.00 90.00
Space group Pmma (No. 51)
Asymmetric unit:
Ce: 0.000 0.000 0.000
Er: 0.000 0.500 0.000
Er: 0.250 0.000 0.498
Er: 0.250 0.500 0.497
Tl: 0.000 0.258 0.500
Tl: 0.250 0.258 0.997

Top 8 peaks for 10° ≤ 2θ ≤ 90°, low angle first:
d_spacing  I_rel
3.806  1
2.691  100
1.903  18
1.702  1
1.554  38
1.346  12
1.203  17
1.099  4